Entry 1:
Sr2CdPb2: calculated powder XRD pattern (Cu Kα, 1.54184 Å), based on a structure optimized by DFT (PBE).
Lines closer than 0.1° are merged.

Main lines, in order of rising 2θ (10° ≤ 2θ ≤ 90°):
Position (°2θ)	d_spacing	intensity
17.24	5.144	28
24.40	3.648	13
30.03	2.976	100
34.77	2.580	33
34.89	2.572	21
39.06	2.306	17
43.71	2.071	8
50.07	1.822	26
59.58	1.552	15
64.08	1.453	16

Cell and atoms:
a b c (Å): 8.158 8.158 5.144
angles (deg): 90.00 90.00 90.00
Atoms (fractional coordinates):
Sr  0.167  0.333  0.000
Sr  0.333  0.833  0.000
Sr  0.667  0.167  0.000
Sr  0.833  0.667  0.000
Cd  0.000  0.000  0.500
Cd  0.500  0.500  0.500
Pb  0.138  0.638  0.500
Pb  0.362  0.138  0.500
Pb  0.638  0.862  0.500
Pb  0.862  0.362  0.500

***

Entry 2:
Tb3CdPb3: calculated powder XRD pattern (Cu Kα, 1.54184 Å), based on a structure optimized by DFT (PBE).
Lines closer than 0.1° are merged.

Main lines, in order of rising 2θ (10° ≤ 2θ ≤ 90°):
Position (°2θ)	d_spacing	intensity
19.07	4.654	59
28.65	3.116	69
29.32	3.047	29
32.72	2.737	21
33.35	2.687	100
34.64	2.589	28
41.45	2.179	26
44.53	2.035	91
67.47	1.388	18
69.77	1.348	24

Cell and atoms:
a b c (Å): 9.307 9.307 6.232
angles (deg): 90.00 90.00 120.00
Atoms (fractional coordinates):
Tb  0.045  0.371  0.250
Tb  0.326  0.955  0.250
Tb  0.371  0.326  0.750
Tb  0.629  0.674  0.250
Tb  0.674  0.045  0.750
Tb  0.955  0.629  0.750
Cd  0.333  0.667  0.750
Cd  0.667  0.333  0.250
Pb  0.036  0.332  0.750
Pb  0.296  0.964  0.750
Pb  0.332  0.296  0.250
Pb  0.668  0.704  0.750
Pb  0.704  0.036  0.250
Pb  0.964  0.668  0.250

***

Entry 3:
Tb2CdPb3: calculated powder XRD pattern (Cu Kα, 1.54184 Å), based on a structure optimized by DFT (PBE).
Lines closer than 0.1° are merged.

Main lines, in order of rising 2θ (10° ≤ 2θ ≤ 90°):
Position (°2θ)	d_spacing	intensity
20.36	4.361	17
24.53	3.630	27
26.80	3.327	9
31.99	2.798	32
34.82	2.576	22
34.94	2.568	100
35.19	2.551	28
50.34	1.813	16
62.51	1.486	19
62.98	1.476	18

Cell and atoms:
a b c (Å): 8.916 8.916 5.101
angles (deg): 90.00 90.00 70.61
Atoms (fractional coordinates):
Tb  0.002  0.751  0.750
Tb  0.249  0.998  0.750
Tb  0.751  0.002  0.250
Tb  0.998  0.249  0.250
Cd  0.176  0.824  0.250
Cd  0.824  0.176  0.750
Pb  0.149  0.382  0.750
Pb  0.382  0.149  0.250
Pb  0.396  0.604  0.750
Pb  0.604  0.396  0.250
Pb  0.618  0.851  0.750
Pb  0.851  0.618  0.250

***

Entry 4:
Tb2Cd16Pb: calculated powder XRD pattern (Cu Kα, 1.54184 Å), based on a structure optimized by DFT (PBE).
Lines closer than 0.1° are merged.

Main lines, in order of rising 2θ (10° ≤ 2θ ≤ 90°):
Position (°2θ)	d_spacing	intensity
30.16	2.963	45
31.58	2.834	17
34.96	2.566	46
35.39	2.536	100
36.21	2.481	14
36.64	2.452	45
39.64	2.274	44
40.78	2.213	18
62.71	1.482	20
65.18	1.431	25

Cell and atoms:
a b c (Å): 7.692 7.692 7.692
angles (deg): 83.71 83.71 83.71
Atoms (fractional coordinates):
Tb  0.000  0.000  0.000
Tb  0.337  0.337  0.337
Cd  0.032  0.032  0.460
Cd  0.032  0.460  0.032
Cd  0.140  0.687  0.687
Cd  0.320  0.320  0.809
Cd  0.320  0.809  0.320
Cd  0.352  0.661  0.983
Cd  0.352  0.983  0.661
Cd  0.460  0.032  0.032
Cd  0.661  0.352  0.983
Cd  0.661  0.983  0.352
Cd  0.687  0.140  0.687
Cd  0.687  0.687  0.140
Cd  0.767  0.767  0.767
Cd  0.809  0.320  0.320
Cd  0.983  0.352  0.661
Cd  0.983  0.661  0.352
Pb  0.564  0.564  0.564

***

Entry 5:
Cd4Te5Pb: calculated powder XRD pattern (Cu Kα, 1.54184 Å), based on a structure optimized by DFT (PBE).
Lines closer than 0.1° are merged.

Main lines, in order of rising 2θ (10° ≤ 2θ ≤ 90°):
Position (°2θ)	d_spacing	intensity
22.57	3.939	91
23.07	3.855	95
37.01	2.429	24
37.72	2.385	100
38.27	2.352	25
44.07	2.055	30
44.48	2.037	16
44.89	2.019	29
54.30	1.689	16
68.83	1.364	17

Cell and atoms:
a b c (Å): 12.820 12.820 12.820
angles (deg): 158.86 37.36 149.56
Atoms (fractional coordinates):
Cd  0.107  0.000  0.107
Cd  0.302  0.008  0.294
Cd  0.713  0.008  0.706
Cd  0.893  0.000  0.893
Te  0.062  0.262  0.800
Te  0.198  0.198  0.000
Te  0.462  0.262  0.200
Te  0.648  0.259  0.389
Te  0.869  0.259  0.611
Pb  0.501  0.001  0.500

***

Entry 6:
Tl3Cd4Pb2: calculated powder XRD pattern (Cu Kα, 1.54184 Å), based on a structure optimized by DFT (PBE).
Lines closer than 0.1° are merged.

Main lines, in order of rising 2θ (10° ≤ 2θ ≤ 90°):
Position (°2θ)	d_spacing	intensity
31.98	2.799	100
32.24	2.777	97
32.34	2.768	96
32.63	2.744	95
34.90	2.571	79
37.82	2.379	62
39.55	2.278	57
52.40	1.746	48
53.26	1.720	26
55.53	1.655	23

Cell and atoms:
a b c (Å): 4.558 7.588 8.005
angles (deg): 70.82 74.47 89.71
Atoms (fractional coordinates):
Tl  0.000  0.000  0.000
Tl  0.449  0.659  0.106
Tl  0.551  0.341  0.894
Cd  0.117  0.686  0.766
Cd  0.327  0.007  0.340
Cd  0.673  0.993  0.660
Cd  0.883  0.314  0.234
Pb  0.226  0.325  0.550
Pb  0.774  0.675  0.450

***

Entry 7:
TlCd8Pb3: calculated powder XRD pattern (Cu Kα, 1.54184 Å), based on a structure optimized by DFT (PBE).
Lines closer than 0.1° are merged.

Main lines, in order of rising 2θ (10° ≤ 2θ ≤ 90°):
Position (°2θ)	d_spacing	intensity
29.92	2.986	49
31.80	2.814	97
34.94	2.568	100
35.85	2.505	72
54.32	1.689	41
56.42	1.631	25
58.09	1.588	33
62.18	1.493	27
71.54	1.319	19
73.86	1.283	15

Cell and atoms:
a b c (Å): 5.972 5.972 10.060
angles (deg): 90.00 90.00 120.00
Atoms (fractional coordinates):
Tl  0.000  0.000  0.000
Cd  0.164  0.327  0.689
Cd  0.164  0.836  0.689
Cd  0.333  0.667  0.440
Cd  0.333  0.667  0.940
Cd  0.503  0.006  0.190
Cd  0.503  0.497  0.190
Cd  0.673  0.836  0.689
Cd  0.994  0.497  0.190
Pb  0.000  0.000  0.371
Pb  0.667  0.333  0.509
Pb  0.667  0.333  0.872

***

Entry 8:
Tl12Cd2Pb5: calculated powder XRD pattern (Cu Kα, 1.54184 Å), based on a structure optimized by DFT (PBE).
Lines closer than 0.1° are merged.

Main lines, in order of rising 2θ (10° ≤ 2θ ≤ 90°):
Position (°2θ)	d_spacing	intensity
32.22	2.778	100
32.44	2.760	55
32.72	2.737	95
33.29	2.691	46
46.00	1.973	16
47.17	1.927	35
57.42	1.605	22
57.99	1.590	23
58.37	1.581	18
58.82	1.570	16

Cell and atoms:
a b c (Å): 11.524 11.524 5.521
angles (deg): 102.77 102.77 55.69
Atoms (fractional coordinates):
Tl  0.041  0.563  0.802
Tl  0.087  0.087  0.103
Tl  0.138  0.682  0.406
Tl  0.318  0.862  0.594
Tl  0.404  0.404  0.906
Tl  0.437  0.959  0.198
Tl  0.563  0.041  0.802
Tl  0.596  0.596  0.094
Tl  0.682  0.138  0.406
Tl  0.862  0.318  0.594
Tl  0.913  0.913  0.897
Tl  0.959  0.437  0.198
Cd  0.258  0.742  0.000
Cd  0.742  0.258  0.000
Pb  0.204  0.204  0.712
Pb  0.312  0.312  0.318
Pb  0.500  0.500  0.500
Pb  0.688  0.688  0.682
Pb  0.796  0.796  0.288

***

Q: What is the formula in the eighth record?
A: Tl12Cd2Pb5